Simulated X-ray diffraction stick pattern
Compound: K2ZnSbSe4
Radiation: CuKα
Structure: a cell relaxed with GGA-PBE

Structure:
Cell: 8.448 8.448 8.459 Å, 117.86 117.86 91.64°
Sites, in units of the cell vectors:
K (0.000, 0.000, 0.000)
K (0.000, 0.000, 0.500)
K (0.000, 0.500, 0.000)
K (0.500, 0.000, 0.500)
Zn (0.000, 0.500, 0.500)
Zn (0.500, 0.000, 0.000)
Sb (0.500, 0.500, 0.000)
Sb (0.500, 0.500, 0.500)
Se (0.235, 0.703, 0.507)
Se (0.268, 0.296, 0.542)
Se (0.296, 0.268, 0.042)
Se (0.297, 0.765, 0.993)
Se (0.703, 0.235, 0.007)
Se (0.704, 0.732, 0.958)
Se (0.732, 0.704, 0.458)
Se (0.765, 0.297, 0.493)

Largest 10 diffraction maxima, by angle, 5 to 70 degrees two-theta:
12.5 deg, rel. 66
12.8 deg, rel. 26
28.4 deg, rel. 100
29.5 deg, rel. 91
30.4 deg, rel. 72
41.4 deg, rel. 92
42.9 deg, rel. 78
51.6 deg, rel. 26
52.9 deg, rel. 38
68.8 deg, rel. 17